# Na2MoO2
Simulated XRD peak list, Cu Kα, 1.54184 Å. Input: the GGA+U geometry in Alexandria.
Neutral-atom scattering factors, no anomalous dispersion.

Structure:
```
data_Na2MoO2
_chemical_formula_sum 'Na32 Mo16 O32'
_space_group_name_H-M_alt 'F d d d'
_space_group_IT_number 70
_cell_length_a 8.091
_cell_length_b 11.596
_cell_length_c 16.500
_cell_angle_alpha 90.00
_cell_angle_beta 90.00
_cell_angle_gamma 90.00
loop_
_space_group_symop_operation_xyz
'x,y,z'
'-x,-y,-z'
'-x+1/4,-y+1/4,z'
'x+1/4,y+1/4,-z'
'x,-y+1/4,-z+1/4'
'-x,y+1/4,z+1/4'
'-x+1/4,y,-z+1/4'
'x+1/4,-y,z+1/4'
'x,y+1/2,z+1/2'
'-x,-y+1/2,-z+1/2'
'-x+1/4,-y+3/4,z+1/2'
'x+1/4,y+3/4,-z+1/2'
'x,-y+3/4,-z+3/4'
'-x,y+3/4,z+3/4'
'-x+1/4,y+1/2,-z+3/4'
'x+1/4,-y+1/2,z+3/4'
'x+1/2,y,z+1/2'
'-x+1/2,-y,-z+1/2'
'-x+3/4,-y+1/4,z+1/2'
'x+3/4,y+1/4,-z+1/2'
'x+1/2,-y+1/4,-z+3/4'
'-x+1/2,y+1/4,z+3/4'
'-x+3/4,y,-z+3/4'
'x+3/4,-y,z+3/4'
'x+1/2,y+1/2,z'
'-x+1/2,-y+1/2,-z'
'-x+3/4,-y+3/4,z'
'x+3/4,y+3/4,-z'
'x+1/2,-y+3/4,-z+1/4'
'-x+1/2,y+3/4,z+1/4'
'-x+3/4,y+1/2,-z+1/4'
'x+3/4,-y+1/2,z+1/4'
loop_
_atom_site_label
_atom_site_fract_x
_atom_site_fract_y
_atom_site_fract_z
Na1 0.095 0.006 0.428
Mo1 0.000 0.000 0.000
O1 0.065 0.346 0.004
```

Main lines, most intense first (2θ = 10–80°):
| index | 2θ (°) | d (Å) | Rel. int. |
| --- | --- | --- | --- |
| 2 2 2 | 29.0 | 3.078 | 100.0 |
| 0 0 4 | 21.5 | 4.125 | 78.3 |
| 1 1 5 | 30.3 | 2.952 | 65.0 |
| 1 1 1 | 14.4 | 6.156 | 58.9 |
| 1 3 1 | 26.1 | 3.412 | 34.5 |
| 1 3 5 | 37.5 | 2.397 | 33.7 |